Li2CoCuO4: computed powder XRD pattern (Cu Kα), based on a GGA+U-relaxed structure.
Neutral-atom scattering factors, no anomalous dispersion.

Atomic structure:
Cell: 4.0973 5.0748 7.6810 Å, 91.07 105.39 113.75°
Positions (direct):
Li1 0.0000 0.0000 0.0000
Li2 0.1223 0.8707 0.3735
Li3 0.4963 0.4937 0.4993
Li4 0.6242 0.3724 0.8759
Co1 0.3743 0.6261 0.1237
Co2 0.8717 0.1182 0.6246
Cu1 0.2490 0.7447 0.7512
Cu2 0.7476 0.2484 0.2477
O1 0.1439 0.4090 0.8772
O2 0.2591 0.2805 0.2381
O3 0.3633 0.0905 0.6337
O4 0.4860 0.9675 0.0058
O5 0.6229 0.8920 0.3530
O6 0.7591 0.7773 0.7396
O7 0.8648 0.5964 0.1346
O8 0.9910 0.4671 0.5130

Peak list (12 most intense, 10 to 80 degrees two-theta, by angle)
24.24 deg, d 3.672, I 100, (1 -1 0)
37.86 deg, d 2.376, I 22, (1 0 -3)
39.18 deg, d 2.299, I 16, (0 1 -3)
43.39 deg, d 2.086, I 23, (0 2 -2)
44.21 deg, d 2.049, I 24, (-2 1 1)
44.39 deg, d 2.041, I 23, (0 1 3)
51.13 deg, d 1.786, I 12, (-2 1 3)
59.87 deg, d 1.545, I 10, (1 -3 2)
63.67 deg, d 1.461, I 13, (2 1 -3)
63.81 deg, d 1.459, I 12, (0 3 1)
64.38 deg, d 1.447, I 6, (2 0 2)
64.51 deg, d 1.444, I 6, (-2 2 4)